(1)
Computed powder diffractogram
Compound: La2Ni3Ge
Radiation: Cu Ka
Structure: a structure optimized by DFT (PBE)
Lines closer than 0.1° are merged.

Peak list (10 most intense, 15° ≤ 2θ ≤ 90°, by angle)
d_spacing	I (rel.)
3.603	8
2.703	100
2.083	14
2.073	27
2.048	13
1.649	15
1.642	7
1.461	8
1.457	17
1.277	9

Structure:
Cell lengths 8.1933, 8.3331, 14.3420 Å; angles 90.00, 90.00, 90.00 degrees
Space group Fmmm (No. 69)
Symmetry-distinct sites (fractional):
La 0.2420 0.0000 0.0000 x8
La 0.2500 0.2500 0.2500 x8
Ni 0.0000 0.0000 0.1661 x8
Ni 0.0000 0.2504 0.0832 x16
Ge 0.0000 0.0000 0.3338 x8



(2)
Computed powder diffractogram
Compound: Li7RhO6
Radiation: Cu Ka
Structure: a structure optimized by DFT (PBE)
Lines closer than 0.1° are merged.

Peak list (10 most intense, 15° ≤ 2θ ≤ 90°, by angle)
d_spacing	I (rel.)
4.759	29
4.601	100
4.017	73
2.877	22
2.462	15
2.417	48
1.822	12
1.815	31
1.779	13
1.620	16

Structure:
Cell lengths 5.6117, 5.6117, 14.2777 Å; angles 90.00, 90.00, 120.00 degrees
Space group R3 (No. 146, hexagonal axes)
Symmetry-distinct sites (fractional):
Li 0.0000 0.0000 0.0000 x3
Li 0.0522 0.3448 0.8787 x9
Li 0.0582 0.6759 0.0974 x9
Rh 0.0000 0.0000 0.6545 x3
O 0.0068 0.7126 0.5735 x9
O 0.0172 0.3854 0.4020 x9



(3)
Computed powder diffractogram
Compound: K3CeNp2S6
Radiation: Cu Ka
Structure: a structure optimized by DFT (PBE)
Lines closer than 0.1° are merged.

Peak list (10 most intense, 15° ≤ 2θ ≤ 90°, by angle)
d_spacing	I (rel.)
3.687	20
3.525	37
3.398	45
3.000	100
2.367	23
2.186	36
2.062	35
1.985	22
1.799	18
1.699	18

Structure:
Cell lengths 7.1417, 12.3697, 7.7487 Å; angles 90.00, 107.90, 90.00 degrees
Space group C2/m (No. 12)
Symmetry-distinct sites (fractional):
K 0.0000 0.0000 0.0000 x2
K 0.0000 0.3341 0.0000 x4
Ce 0.0000 0.5000 0.5000 x2
Np 0.0000 0.1668 0.5000 x4
S 0.2280 0.0000 0.7027 x4
S 0.2374 0.3302 0.7026 x8



(4)
Computed powder diffractogram
Compound: Er2Ta3Ge4
Radiation: Cu Ka
Structure: a structure optimized by DFT (PBE)
Lines closer than 0.1° are merged.

Peak list (10 most intense, 15° ≤ 2θ ≤ 90°, by angle)
d_spacing	I (rel.)
3.109	33
2.679	61
2.499	94
2.488	33
2.481	39
2.470	100
2.444	58
2.240	29
2.235	89
2.219	71

Structure:
Cell lengths 7.1310, 7.1278, 7.0042 Å; angles 90.00, 109.59, 90.00 degrees
Space group P2_1/c (No. 14)
Symmetry-distinct sites (fractional):
Er 0.1862 0.1708 0.0571 x4
Ta 0.2549 0.6751 0.2459 x4
Ta 0.5000 0.0000 0.5000 x2
Ge 0.0843 0.5359 0.8551 x4
Ge 0.4889 0.1320 0.8649 x4



(5)
Computed powder diffractogram
Compound: InNi10B3
Radiation: Cu Ka
Structure: a structure optimized by DFT (PBE)
Lines closer than 0.1° are merged.

Peak list (10 most intense, 15° ≤ 2θ ≤ 90°, by angle)
d_spacing	I (rel.)
5.285	12
2.363	81
2.158	42
2.034	100
1.868	25
1.787	44
1.593	21
1.282	22
1.246	31
1.160	12

Structure:
Cell lengths 10.5698, 10.5698, 10.5698 Å; angles 90.00, 90.00, 90.00 degrees
Space group Fm-3m (No. 225)
Symmetry-distinct sites (fractional):
In 0.2500 0.2500 0.2500 x8
Ni 0.0000 0.1664 0.1664 x48
Ni 0.1138 0.1138 0.3862 x32
B 0.0000 0.0000 0.2720 x24



(6)
Computed powder diffractogram
Compound: Sr3Mg9Cu2
Radiation: Cu Ka
Structure: a structure optimized by DFT (PBE)
Lines closer than 0.1° are merged.

Peak list (10 most intense, 15° ≤ 2θ ≤ 90°, by angle)
d_spacing	I (rel.)
4.522	23
3.348	10
2.972	17
2.873	100
2.724	23
2.474	26
2.390	14
2.274	10
1.876	18
1.625	10

Structure:
Cell lengths 4.9477, 11.1503, 13.6428 Å; angles 90.00, 90.00, 90.00 degrees
Space group Immm (No. 71)
Symmetry-distinct sites (fractional):
Sr 0.0000 0.0000 0.0000 x2
Sr 0.0000 0.0000 0.3131 x4
Mg 0.0000 0.2806 0.1146 x8
Mg 0.0000 0.3536 0.3384 x8
Mg 0.0000 0.5000 0.0000 x2
Cu 0.0000 0.2025 0.5000 x4



(7)
Computed powder diffractogram
Compound: La2Pr5Ho12
Radiation: Cu Ka
Structure: a structure optimized by DFT (PBE)
Lines closer than 0.1° are merged.

Peak list (10 most intense, 15° ≤ 2θ ≤ 90°, by angle)
d_spacing	I (rel.)
2.944	99
2.932	98
2.545	100
1.805	12
1.798	36
1.538	14
1.535	28
1.533	28
1.531	14
1.472	12

Structure:
Cell lengths 6.2342, 9.5339, 11.3511 Å; angles 89.99, 79.37, 71.12 degrees
Space group P-1 (No. 2)
Symmetry-distinct sites (fractional):
La 0.2096 0.0269 0.0801 x2
Pr 0.0000 0.5000 0.5000 x1
Pr 0.2652 0.6562 0.9729 x2
Pr 0.4741 0.1847 0.5533 x2
Ho 0.0514 0.1323 0.3956 x2
Ho 0.1056 0.7617 0.2899 x2
Ho 0.1574 0.3953 0.1866 x2
Ho 0.3120 0.2922 0.8664 x2
Ho 0.3687 0.9207 0.7603 x2
Ho 0.4195 0.5526 0.6585 x2



(8)
Computed powder diffractogram
Compound: PaCrRe
Radiation: Cu Ka
Structure: a structure optimized by DFT (PBE)
Lines closer than 0.1° are merged.

Peak list (10 most intense, 15° ≤ 2θ ≤ 90°, by angle)
d_spacing	I (rel.)
4.300	17
2.816	40
2.523	48
2.382	100
2.356	33
2.150	14
2.125	19
2.016	25
1.528	26
1.262	31

Structure:
Cell lengths 5.6322, 5.7512, 6.4759 Å; angles 90.00, 90.00, 90.00 degrees
Space group Imma (No. 74)
Symmetry-distinct sites (fractional):
Pa 0.0000 0.2500 0.1173 x4
Cr 0.2500 0.2500 0.7500 x4
Re 0.0000 0.0000 0.5000 x4



Copy entry 6 word for word.
Computed powder diffractogram
Compound: Sr3Mg9Cu2
Radiation: Cu Ka
Structure: a structure optimized by DFT (PBE)
Lines closer than 0.1° are merged.

Peak list (10 most intense, 15° ≤ 2θ ≤ 90°, by angle)
d_spacing	I (rel.)
4.522	23
3.348	10
2.972	17
2.873	100
2.724	23
2.474	26
2.390	14
2.274	10
1.876	18
1.625	10

Structure:
Cell lengths 4.9477, 11.1503, 13.6428 Å; angles 90.00, 90.00, 90.00 degrees
Space group Immm (No. 71)
Symmetry-distinct sites (fractional):
Sr 0.0000 0.0000 0.0000 x2
Sr 0.0000 0.0000 0.3131 x4
Mg 0.0000 0.2806 0.1146 x8
Mg 0.0000 0.3536 0.3384 x8
Mg 0.0000 0.5000 0.0000 x2
Cu 0.0000 0.2025 0.5000 x4